No. 1
Ce5Bi2C: theoretical PXRD pattern (Cu Kα), based on a DFT-relaxed cell (PBE, Alexandria).
Intensities are scaled so that the largest is 100.

Structural model:
```
16
Lattice="7.017 0.000 0.000 0.000 7.017 0.000 0.000 0.000 8.855" Properties=species:S:1:pos:R:3 pbc="T T T"
Ce 0.000 0.000 0.000
Ce 1.702 1.702 5.910
Ce 1.702 5.316 5.910
Ce 1.807 1.807 1.482
Ce 1.807 5.210 1.482
Ce 3.509 3.509 4.427
Ce 5.210 1.807 1.482
Ce 5.210 5.210 1.482
Ce 5.316 1.702 5.910
Ce 5.316 5.316 5.910
Bi 0.000 3.509 3.713
Bi 0.000 3.509 8.141
Bi 3.509 0.000 3.713
Bi 3.509 0.000 8.141
C 0.000 0.000 6.381
C 3.509 3.509 1.953
```

Peak list (6 most intense, 5 to 70 degrees two-theta, by angle)
- hkl 1 1 2, 2θ 27.0, rel. 20
- hkl 2 0 2, 2θ 32.6, rel. 100
- hkl 2 2 0, 2θ 36.2, rel. 44
- hkl 4 0 0, 2θ 52.1, rel. 15
- hkl 2 2 4, 2θ 55.6, rel. 18
- hkl 4 2 2, 2θ 62.8, rel. 30

---

No. 2
La2Ce2Bi2C: theoretical PXRD pattern (Cu Kα), based on a DFT-relaxed cell (PBE, Alexandria).
Intensities are scaled so that the largest is 100.

Structural model:
```
14
Lattice="4.919 0.000 0.000 0.000 4.919 0.000 0.000 0.000 17.123" Properties=species:S:1:pos:R:3 pbc="T T T"
La 0.000 0.000 2.731
La 0.000 0.000 14.392
La 2.460 2.460 5.830
La 2.460 2.460 11.293
Ce 0.000 2.460 0.000
Ce 0.000 2.460 8.562
Ce 2.460 0.000 0.000
Ce 2.460 0.000 8.562
Bi 0.000 0.000 6.163
Bi 0.000 0.000 10.961
Bi 2.460 2.460 2.399
Bi 2.460 2.460 14.724
C 0.000 0.000 0.000
C 2.460 2.460 8.562
```

Peak list (6 most intense, 5 to 70 degrees two-theta, by angle)
- hkl 1 1 2, 2θ 27.7, rel. 49
- hkl 0 0 6, 2θ 31.3, rel. 26
- hkl 1 1 4, 2θ 33.2, rel. 100
- hkl 2 0 0, 2θ 36.5, rel. 54
- hkl 2 0 6, 2θ 48.9, rel. 30
- hkl 3 1 4, 2θ 63.6, rel. 31